Starting from the PBE geometry in Alexandria, the X-ray powder pattern of Sn3TeAu3 was calculated for Cu Kα.

Principal peaks in the range 10° ≤ 2θ ≤ 90°, low angle first:
hkl 1 -1 2, 31.8°, I = 62; hkl 1 2 3, 32.1°, I = 63; hkl 2 1 -1, 32.2°, I = 46; hkl -1 1 3, 39.4°, I = 90; hkl 2 1 4, 39.5°, I = 100; hkl 3 0 1, 43.5°, I = 44

Crystal structure
```
14
Lattice="7.149 0.000 0.000 3.506 6.267 0.000 3.567 2.067 8.889" Properties=species:S:1:pos:R:3 pbc="T T T"
Sn 2.731 3.185 2.154
Sn 7.619 7.507 6.714
Sn 6.649 5.407 2.180
Sn 7.573 2.928 6.709
Sn 6.603 0.827 2.176
Sn 11.491 5.149 6.735
Te 5.364 3.115 8.870
Te 8.858 5.219 0.019
Au 4.237 5.103 3.585
Au 6.699 5.241 5.317
Au 4.192 1.251 3.594
Au 10.031 7.083 5.295
Au 7.523 3.093 3.572
Au 9.986 3.231 5.304
```